Starting from a crystal structure in Alexandria, relaxed with GGA+U, the powder diffraction line list of Co2AgBiF8 was computed for Cu Kα.
Lines closer than 0.1° are merged.

Most intense lines, 10° ≤ 2θ ≤ 80°, sorted by position:
hkl 1 -1 0, d = 3.715 Å, 2θ = 24.0°, I 87; hkl 1 1 0, d = 3.655 Å, 2θ = 24.4°, I 95; hkl 1 0 -2, d = 2.811 Å, 2θ = 31.8°, I 100; hkl 1 0 2, d = 2.802 Å, 2θ = 31.9°, I 34; hkl 1 -1 2, d = 2.481 Å, 2θ = 36.2°, I 36; hkl 2 -1 2, d = 1.914 Å, 2θ = 47.5°, I 27

Structural model:
```
data_Co2AgBiF8
_space_group_name_H-M_alt 'P -1'
_space_group_IT_number 2
_space_group_name_Hall '-P 1'
_cell_length_a 5.1838
_cell_length_b 5.2409
_cell_length_c 6.6681
_cell_angle_alpha 90.08
_cell_angle_beta 90.11
_cell_angle_gamma 90.94
loop_
_atom_site_label
_atom_site_type_symbol
_atom_site_fract_x
_atom_site_fract_y
_atom_site_fract_z
_atom_site_occupancy
Co1 Co 0.0000 0.0000 0.2425 1
Ag1 Ag 0.5000 0.5000 0.0000 1
Bi1 Bi 0.5000 0.5000 0.5000 1
F1 F 0.1771 0.1704 0.0003 1
F2 F 0.1866 0.1795 0.5001 1
F3 F 0.2691 0.7239 0.2694 1
F4 F 0.2692 0.7239 0.7306 1
```